# 1
Mn6O7F5: simulated powder X-ray diffraction pattern (Cu Kα, 1.54184 Å), based on a structure optimized by DFT (PBE+U).
No peak broadening, texture or thermal motion is included.

Structural model:
Unit cell a=4.6223 b=5.5913 c=7.7775 alpha=87.21 beta=89.77 gamma=89.04
Space group P1 (No. 1)
Inequivalent atoms, fractional coordinates:
Mn (0.0000, 0.0000, 0.0000) (multiplicity 1)
Mn (0.0099, 0.6827, 0.3616) (multiplicity 1)
Mn (0.0251, 0.3328, 0.6919) (multiplicity 1)
Mn (0.5198, 0.8319, 0.6810) (multiplicity 1)
Mn (0.5392, 0.1505, 0.3377) (multiplicity 1)
Mn (0.5715, 0.5058, 0.0273) (multiplicity 1)
O (0.2081, 0.0380, 0.7822) (multiplicity 1)
O (0.3420, 0.8644, 0.4473) (multiplicity 1)
O (0.7198, 0.7997, 0.9084) (multiplicity 1)
O (0.7254, 0.4574, 0.2528) (multiplicity 1)
O (0.8237, 0.2940, 0.9190) (multiplicity 1)
O (0.8355, 0.9623, 0.2305) (multiplicity 1)
O (0.8422, 0.6204, 0.5913) (multiplicity 1)
F (0.2308, 0.7007, 0.1118) (multiplicity 1)
F (0.2389, 0.3573, 0.4525) (multiplicity 1)
F (0.3127, 0.2000, 0.1051) (multiplicity 1)
F (0.3362, 0.5208, 0.8016) (multiplicity 1)
F (0.7346, 0.1367, 0.5785) (multiplicity 1)

Top 6 peaks for 10 to 90 degrees two-theta, sorted by position:
2θ = 27.01°, intensity 991, hkl 1 1 1
2θ = 27.44°, intensity 1000, hkl -1 1 1
2θ = 34.63°, intensity 871, hkl 1 1 -2
2θ = 52.72°, intensity 314, hkl 1 3 0
2θ = 53.19°, intensity 297, hkl 2 0 -3
2θ = 67.60°, intensity 313, hkl 0 4 1



# 2
Mn6O7F5: simulated powder X-ray diffraction pattern (Cu Kα, 1.54184 Å), based on a structure optimized by DFT (PBE+U).
No peak broadening, texture or thermal motion is included.

Structural model:
Unit cell a=4.6710 b=5.6188 c=7.7233 alpha=85.77 beta=88.94 gamma=88.15
Space group P1 (No. 1)
Inequivalent atoms, fractional coordinates:
Mn (0.0000, 0.0000, 0.0000) (multiplicity 1)
Mn (0.0013, 0.3357, 0.6712) (multiplicity 1)
Mn (0.0230, 0.6674, 0.3670) (multiplicity 1)
Mn (0.4933, 0.5096, 0.0288) (multiplicity 1)
Mn (0.5154, 0.8399, 0.6803) (multiplicity 1)
Mn (0.5520, 0.1819, 0.3385) (multiplicity 1)
O (0.1984, 0.6320, 0.5850) (multiplicity 1)
O (0.3163, 0.4621, 0.2544) (multiplicity 1)
O (0.3216, 0.8047, 0.9162) (multiplicity 1)
O (0.7086, 0.2115, 0.1088) (multiplicity 1)
O (0.7103, 0.8782, 0.4460) (multiplicity 1)
O (0.8214, 0.0475, 0.7716) (multiplicity 1)
O (0.8217, 0.3847, 0.4511) (multiplicity 1)
F (0.2040, 0.9646, 0.2429) (multiplicity 1)
F (0.2136, 0.3090, 0.8918) (multiplicity 1)
F (0.3248, 0.1478, 0.5597) (multiplicity 1)
F (0.7119, 0.5342, 0.8042) (multiplicity 1)
F (0.8315, 0.6965, 0.1348) (multiplicity 1)

Top 6 peaks for 10 to 90 degrees two-theta, sorted by position:
2θ = 26.44°, intensity 1000, hkl 1 1 1
2θ = 27.42°, intensity 919, hkl -1 1 1
2θ = 34.91°, intensity 702, hkl 0 2 -1
2θ = 35.05°, intensity 233, hkl 1 -1 2
2θ = 52.36°, intensity 281, hkl 1 1 4
2θ = 53.44°, intensity 397, hkl 1 -3 0



# 3
Mn3O5F: simulated powder X-ray diffraction pattern (Cu Kα, 1.54184 Å), based on a structure optimized by DFT (PBE+U).
No peak broadening, texture or thermal motion is included.

Structural model:
Unit cell a=5.4311 b=5.4674 c=6.9903 alpha=73.41 beta=72.98 gamma=73.99
Space group P-1 (No. 2)
Inequivalent atoms, fractional coordinates:
Mn (0.0000, 0.0000, 0.0000) (multiplicity 1)
Mn (0.0000, 0.0000, 0.5000) (multiplicity 1)
Mn (0.3484, 0.3325, 0.1600) (multiplicity 2)
Mn (0.3573, 0.3073, 0.6679) (multiplicity 2)
O (0.1061, 0.0991, 0.7037) (multiplicity 2)
O (0.2340, 0.2326, 0.9624) (multiplicity 2)
O (0.3058, 0.6906, 0.0020) (multiplicity 2)
O (0.3581, 0.9821, 0.3302) (multiplicity 2)
O (0.4320, 0.4392, 0.3715) (multiplicity 2)
F (0.0327, 0.6134, 0.6776) (multiplicity 2)

Top 6 peaks for 10 to 90 degrees two-theta, sorted by position:
2θ = 27.20°, intensity 997, hkl 1 -1 0
2θ = 28.25°, intensity 1000, hkl 1 1 2
2θ = 35.80°, intensity 564, hkl 1 2 0
2θ = 36.04°, intensity 514, hkl 2 1 0
2θ = 53.67°, intensity 293, hkl 0 3 0
2θ = 55.05°, intensity 301, hkl 1 0 4



# 4
Mn3O5F: simulated powder X-ray diffraction pattern (Cu Kα, 1.54184 Å), based on a structure optimized by DFT (PBE+U).
No peak broadening, texture or thermal motion is included.

Structural model:
Unit cell a=8.8907 b=6.3212 c=7.2430 alpha=90.00 beta=113.27 gamma=90.00
Space group Cm (No. 8)
Inequivalent atoms, fractional coordinates:
Mn (0.0000, 0.0000, 0.0000) (multiplicity 2)
Mn (0.0008, 0.0000, 0.5172) (multiplicity 2)
Mn (0.1738, 0.5000, 0.1716) (multiplicity 2)
Mn (0.1769, 0.5000, 0.6776) (multiplicity 2)
Mn (0.3306, 0.0000, 0.8532) (multiplicity 2)
Mn (0.3485, 0.0000, 0.3292) (multiplicity 2)
O (0.0029, 0.3058, 0.0082) (multiplicity 4)
O (0.0738, 0.5000, 0.3810) (multiplicity 2)
O (0.1718, 0.1943, 0.6756) (multiplicity 4)
O (0.2322, 0.0000, 0.0423) (multiplicity 2)
O (0.2735, 0.5000, 0.9699) (multiplicity 2)
O (0.3383, 0.3041, 0.3437) (multiplicity 4)
O (0.4015, 0.5000, 0.7139) (multiplicity 2)
F (0.1094, 0.0000, 0.3047) (multiplicity 2)
F (0.4379, 0.0000, 0.6413) (multiplicity 2)

Top 6 peaks for 10 to 90 degrees two-theta, sorted by position:
2θ = 27.07°, intensity 960, hkl 2 0 -2
2θ = 28.24°, intensity 931, hkl 0 2 0
2θ = 35.89°, intensity 1000, hkl 1 1 2
2θ = 53.70°, intensity 291, hkl 1 1 -4
2θ = 53.83°, intensity 285, hkl 5 1 -2
2θ = 55.10°, intensity 533, hkl 1 3 2